For LaSiAu, a DFT-relaxed cell (GGA-PBE, Alexandria) gives the theoretical powder diffractogram in this record (Cu Kα, 1.54184 Å).
No peak broadening, texture or thermal motion is included.

Structure:
```
data_LaSiAu
_cell_length_a 4.3145
_cell_length_b 4.1641
_cell_length_c 7.8617
_cell_angle_alpha 90.00
_cell_angle_beta 90.08
_cell_angle_gamma 90.00
_symmetry_space_group_name_H-M 'P 1 2/m 1'
_symmetry_Int_Tables_number 10
_symmetry_space_group_name_Hall '-P 2y'
loop_
_atom_site_label
_atom_site_type_symbol
_atom_site_fract_x
_atom_site_fract_y
_atom_site_fract_z
La1 La 0.2502 0.0000 0.2307
Si1 Si 0.2496 0.5000 0.9296
Au1 Au 0.2502 0.5000 0.6097
```

Main lines, sorted by position (2θ from 5° to 70°):
hkl 0 0 1, 11.25°, d 7.862, I 40; hkl 0 1 1, 24.19°, d 3.680, I 27; hkl 1 0 -2, 30.77°, d 2.906, I 31; hkl 0 1 2, 31.29°, d 2.858, I 25; hkl 1 1 1, 31.97°, d 2.800, I 100; hkl 1 1 2, 37.75°, d 2.383, I 17; hkl 1 0 3, 40.27°, d 2.240, I 39; hkl 2 0 0, 41.88°, d 2.157, I 21; hkl 0 2 0, 43.47°, d 2.082, I 23; hkl 0 1 4, 51.41°, d 1.777, I 17; hkl 1 2 3, 60.73°, d 1.525, I 23; hkl 2 1 4, 68.39°, d 1.372, I 15